Record 1
Starting from a DFT-relaxed cell (PBE, the Materials Project), the PXRD pattern of Nb6AlGa was simulated for CuKα.
No peak broadening, texture or thermal motion is included.

Atomic structure:
```
data_Nb6AlGa
_space_group_name_H-M_alt 'P m -3'
_space_group_IT_number 200
_space_group_name_Hall '-P 2 2 3'
_cell_length_a 5.200
_cell_length_b 5.200
_cell_length_c 5.200
_cell_angle_alpha 90.00
_cell_angle_beta 90.00
_cell_angle_gamma 90.00
loop_
_atom_site_label
_atom_site_fract_x
_atom_site_fract_y
_atom_site_fract_z
Nb1 0.000 0.245 0.500
Al1 0.000 0.000 0.000
Ga1 0.500 0.500 0.500
```

Top 6 peaks for 2θ = 15–90°, by intensity:
h k l	Position (°2θ)	d_spacing	Rel. int.
2 0 1	38.72	2.326	100
2 1 1	42.59	2.123	44
3 1 2	67.38	1.390	22
3 2 0	64.62	1.442	22
2 0 0	34.49	2.600	20
4 1 2	85.59	1.135	19



Record 2
Starting from a DFT-relaxed cell (PBE, the Materials Project), the PXRD pattern of Nb12Al3Ga was simulated for CuKα.
No peak broadening, texture or thermal motion is included.

Atomic structure:
```
data_Nb12Al3Ga
_space_group_name_H-M_alt 'P m m m'
_space_group_IT_number 47
_cell_length_a 5.202
_cell_length_b 5.203
_cell_length_c 10.399
_cell_angle_alpha 90.00
_cell_angle_beta 90.00
_cell_angle_gamma 90.00
loop_
_space_group_symop_operation_xyz
'x,y,z'
'-x,-y,-z'
'-x,-y,z'
'x,y,-z'
'x,-y,-z'
'-x,y,z'
'-x,y,-z'
'x,-y,z'
loop_
_atom_site_label
_atom_site_fract_x
_atom_site_fract_y
_atom_site_fract_z
Nb1 0.000 0.000 0.125
Nb2 0.000 0.000 0.374
Nb3 0.249 0.500 0.000
Nb4 0.250 0.500 0.500
Nb5 0.500 0.251 0.250
Al1 0.000 0.500 0.250
Al2 0.500 0.000 0.500
Ga1 0.500 0.000 0.000
```

Top 6 peaks for 2θ = 15–90°, by intensity:
h k l	Position (°2θ)	d_spacing	Rel. int.
1 0 4	38.71	2.326	100
2 1 2	42.57	2.124	37
2 3 0	64.60	1.443	21
4 2 2	85.56	1.135	19
1 3 4	67.36	1.390	18
2 0 0	34.48	2.601	17



Record 3
Starting from a DFT-relaxed cell (PBE, the Materials Project), the PXRD pattern of Nb2Al3Ga3 was simulated for CuKα.
No peak broadening, texture or thermal motion is included.

Atomic structure:
```
data_Nb2Al3Ga3
_space_group_name_H-M_alt 'P -4 m 2'
_space_group_IT_number 115
_cell_length_a 3.835
_cell_length_b 3.835
_cell_length_c 8.691
_cell_angle_alpha 90.00
_cell_angle_beta 90.00
_cell_angle_gamma 90.00
loop_
_space_group_symop_operation_xyz
'x,y,z'
'y,-x,-z'
'-x,-y,z'
'-y,x,-z'
'-x,y,z'
'-y,-x,-z'
'x,-y,z'
'y,x,-z'
loop_
_atom_site_label
_atom_site_fract_x
_atom_site_fract_y
_atom_site_fract_z
Nb1 0.000 0.500 0.250
Al1 0.000 0.000 0.500
Al2 0.000 0.500 0.749
Ga1 0.000 0.000 0.000
Ga2 0.500 0.500 0.000
Ga3 0.500 0.500 0.500
```

Top 6 peaks for 2θ = 15–90°, by intensity:
h k l	Position (°2θ)	d_spacing	Rel. int.
1 1 2	39.16	2.301	100
2 0 0	47.41	1.918	29
1 0 1	25.39	3.509	27
2 0 4	64.85	1.438	22
3 1 2	82.60	1.168	22
0 0 4	41.57	2.173	21



Record 4
Starting from a DFT-relaxed cell (PBE, the Materials Project), the PXRD pattern of Al3Ga3Ni10 was simulated for CuKα.
No peak broadening, texture or thermal motion is included.

Atomic structure:
```
data_Al3Ga3Ni10
_space_group_name_H-M_alt 'P 1 m 1'
_space_group_IT_number 6
_cell_length_a 5.010
_cell_length_b 3.728
_cell_length_c 10.019
_cell_angle_alpha 90.00
_cell_angle_beta 97.00
_cell_angle_gamma 90.00
loop_
_space_group_symop_operation_xyz
'x,y,z'
'x,-y,z'
loop_
_atom_site_label
_atom_site_fract_x
_atom_site_fract_y
_atom_site_fract_z
Al1 0.000 0.000 0.000
Al2 0.001 0.000 0.503
Al3 0.439 0.000 0.782
Ga1 0.439 0.000 0.283
Ga2 0.720 0.500 0.642
Ga3 0.723 0.500 0.140
Ni1 0.218 0.500 0.393
Ni2 0.219 0.500 0.892
Ni3 0.221 0.500 0.141
Ni4 0.221 0.500 0.642
Ni5 0.495 0.000 0.028
Ni6 0.495 0.000 0.530
Ni7 0.719 0.500 0.891
Ni8 0.721 0.500 0.392
Ni9 0.945 0.000 0.754
Ni10 0.946 0.000 0.254
```

Top 6 peaks for 2θ = 15–90°, by intensity:
h k l	Position (°2θ)	d_spacing	Rel. int.
2 1 0	43.77	2.068	100
0 2 0	48.86	1.864	19
2 0 -4	48.53	1.876	17
2 3 0	87.83	1.111	12
2 0 4	55.35	1.660	11
2 2 -4	71.33	1.322	10



Record 5
Starting from a DFT-relaxed cell (PBE, the Materials Project), the PXRD pattern of AlGaO3 was simulated for CuKα.
No peak broadening, texture or thermal motion is included.

Atomic structure:
```
data_AlGaO3
_space_group_name_H-M_alt 'P n a 21'
_space_group_IT_number 33
_cell_length_a 4.995
_cell_length_b 8.625
_cell_length_c 9.160
_cell_angle_alpha 90.00
_cell_angle_beta 90.00
_cell_angle_gamma 90.00
loop_
_space_group_symop_operation_xyz
'x,y,z'
'-x,-y,z+1/2'
'-x+1/2,y+1/2,z+1/2'
'x+1/2,-y+1/2,z'
loop_
_atom_site_label
_atom_site_fract_x
_atom_site_fract_y
_atom_site_fract_z
Al1 0.181 0.034 0.000
Al2 0.190 0.343 0.794
Ga1 0.183 0.351 0.201
Ga2 0.186 0.658 0.017
O1 0.019 0.821 0.144
O2 0.032 0.164 0.142
O3 0.038 0.487 0.642
O4 0.149 0.669 0.380
O5 0.150 0.992 0.413
O6 0.169 0.346 0.407
```

Top 6 peaks for 2θ = 15–90°, by intensity:
h k l	Position (°2θ)	d_spacing	Rel. int.
1 2 2	33.72	2.658	100
1 3 1	37.38	2.406	59
0 1 3	31.07	2.878	54
1 3 5	62.96	1.476	45
3 3 0	64.70	1.441	25
2 0 0	35.99	2.495	22



Record 6
Starting from a DFT-relaxed cell (PBE, the Materials Project), the PXRD pattern of AlGaO3 was simulated for CuKα.
No peak broadening, texture or thermal motion is included.

Atomic structure:
```
data_AlGaO3
_space_group_name_H-M_alt 'P n m a'
_space_group_IT_number 62
_cell_length_a 5.010
_cell_length_b 7.448
_cell_length_c 4.889
_cell_angle_alpha 90.00
_cell_angle_beta 90.00
_cell_angle_gamma 90.00
loop_
_space_group_symop_operation_xyz
'x,y,z'
'-x,-y,-z'
'-x+1/2,-y,z+1/2'
'x+1/2,y,-z+1/2'
'x+1/2,-y+1/2,-z+1/2'
'-x+1/2,y+1/2,z+1/2'
'-x,y+1/2,-z'
'x,-y+1/2,z'
loop_
_atom_site_label
_atom_site_fract_x
_atom_site_fract_y
_atom_site_fract_z
Al1 0.000 0.000 0.000
Ga1 0.043 0.250 0.486
O1 0.080 0.750 0.132
O2 0.185 0.571 0.681
```

Top 6 peaks for 2θ = 15–90°, by intensity:
h k l	Position (°2θ)	d_spacing	Rel. int.
1 2 1	35.19	2.550	100
1 2 3	65.21	1.431	29
1 0 1	25.46	3.499	24
2 0 2	52.29	1.749	23
2 0 0	35.85	2.505	19
0 0 2	36.76	2.445	18



Record 7
Starting from a DFT-relaxed cell (PBE, the Materials Project), the PXRD pattern of AlGaO3 was simulated for CuKα.
No peak broadening, texture or thermal motion is included.

Atomic structure:
```
data_AlGaO3
_space_group_name_H-M_alt 'P n a 21'
_space_group_IT_number 33
_cell_length_a 5.002
_cell_length_b 8.601
_cell_length_c 9.278
_cell_angle_alpha 90.00
_cell_angle_beta 90.00
_cell_angle_gamma 90.00
loop_
_space_group_symop_operation_xyz
'x,y,z'
'-x,-y,z+1/2'
'-x+1/2,y+1/2,z+1/2'
'x+1/2,-y+1/2,z'
loop_
_atom_site_label
_atom_site_fract_x
_atom_site_fract_y
_atom_site_fract_z
Al1 0.171 0.154 0.000
Al2 0.182 0.837 0.804
Ga1 0.169 0.468 0.798
Ga2 0.188 0.149 0.583
O1 0.006 0.327 0.941
O2 0.009 0.010 0.429
O3 0.020 0.678 0.917
O4 0.147 0.165 0.194
O5 0.158 0.829 0.169
O6 0.160 0.493 0.200
```

Top 6 peaks for 2θ = 15–90°, by intensity:
h k l	Position (°2θ)	d_spacing	Rel. int.
1 2 2	33.59	2.668	100
0 2 2	28.26	3.158	70
1 1 3	35.69	2.515	39
1 3 5	62.44	1.487	39
1 1 1	22.69	3.919	38
3 3 0	64.67	1.441	36



Record 8
Starting from a DFT-relaxed cell (PBE, the Materials Project), the PXRD pattern of AlGaP2O8 was simulated for CuKα.
No peak broadening, texture or thermal motion is included.

Atomic structure:
```
data_AlGaP2O8
_space_group_name_H-M_alt 'C 1 2 1'
_space_group_IT_number 5
_cell_length_a 7.177
_cell_length_b 7.108
_cell_length_c 7.076
_cell_angle_alpha 90.00
_cell_angle_beta 90.29
_cell_angle_gamma 90.00
loop_
_space_group_symop_operation_xyz
'x,y,z'
'-x,y,-z'
'x+1/2,y+1/2,z'
'-x+1/2,y+1/2,-z'
loop_
_atom_site_label
_atom_site_fract_x
_atom_site_fract_y
_atom_site_fract_z
Al1 0.000 0.000 0.000
Ga1 0.000 0.389 0.500
P1 0.193 0.692 0.246
O1 0.065 0.522 0.288
O2 0.072 0.863 0.193
O3 0.182 0.146 0.924
O4 0.192 0.234 0.574
```

Top 6 peaks for 2θ = 15–90°, by intensity:
h k l	Position (°2θ)	d_spacing	Rel. int.
1 1 -1	21.61	4.112	100
2 2 0	35.55	2.525	22
1 1 2	30.91	2.893	9
1 1 -2	30.81	2.902	8
0 2 1	28.10	3.176	8
2 0 1	27.93	3.194	7



Record 9
Starting from a DFT-relaxed cell (PBE, the Materials Project), the PXRD pattern of Sr2AlGaSn2O7 was simulated for CuKα.
No peak broadening, texture or thermal motion is included.

Atomic structure:
```
data_Sr2AlGaSn2O7
_space_group_name_H-M_alt 'P 1'
_space_group_IT_number 1
_cell_length_a 5.753
_cell_length_b 6.585
_cell_length_c 12.198
_cell_angle_alpha 74.47
_cell_angle_beta 76.46
_cell_angle_gamma 89.88
loop_
_space_group_symop_operation_xyz
'x,y,z'
loop_
_atom_site_label
_atom_site_fract_x
_atom_site_fract_y
_atom_site_fract_z
Sr1 0.000 0.000 0.000
Sr2 0.172 0.172 0.652
Sr3 0.502 0.387 0.004
Sr4 0.680 0.565 0.647
Al1 0.289 0.497 0.390
Al2 0.850 0.062 0.264
Ga1 0.132 0.636 0.826
Ga2 0.621 0.946 0.824
Sn1 0.234 0.771 0.520
Sn2 0.403 0.793 0.174
Sn3 0.748 0.140 0.483
Sn4 0.930 0.468 0.133
O1 0.001 0.406 0.961
O2 0.002 0.386 0.470
O3 0.131 0.008 0.189
O4 0.132 0.538 0.692
O5 0.219 0.669 0.073
O6 0.463 0.912 0.580
O7 0.465 0.681 0.826
O8 0.495 0.374 0.466
O9 0.501 0.050 0.954
O10 0.636 0.176 0.691
O11 0.642 0.031 0.183
O12 0.698 0.675 0.078
O13 0.949 0.923 0.575
O14 0.959 0.880 0.826
```

Top 6 peaks for 2θ = 15–90°, by intensity:
h k l	Position (°2θ)	d_spacing	Rel. int.
1 -1 3	31.30	2.858	100
2 0 1	31.09	2.876	49
1 2 1	31.55	2.836	46
1 1 4	31.36	2.853	37
0 0 2	15.54	5.701	36
0 1 -3	30.62	2.920	27



Record 10
Starting from a DFT-relaxed cell (PBE, the Materials Project), the PXRD pattern of Sr2Ti2AlGaO7 was simulated for CuKα.
No peak broadening, texture or thermal motion is included.

Atomic structure:
```
data_Sr2Ti2AlGaO7
_space_group_name_H-M_alt 'P 1'
_space_group_IT_number 1
_cell_length_a 5.161
_cell_length_b 5.334
_cell_length_c 13.624
_cell_angle_alpha 100.51
_cell_angle_beta 100.79
_cell_angle_gamma 90.25
loop_
_space_group_symop_operation_xyz
'x,y,z'
loop_
_atom_site_label
_atom_site_fract_x
_atom_site_fract_y
_atom_site_fract_z
Sr1 0.000 0.000 0.000
Sr2 0.166 0.170 0.358
Sr3 0.489 0.474 0.997
Sr4 0.685 0.643 0.355
Ti1 0.201 0.763 0.578
Ti2 0.333 0.906 0.793
Ti3 0.858 0.266 0.578
Ti4 0.945 0.410 0.795
Al1 0.418 0.324 0.677
Al2 0.750 0.805 0.669
Ga1 0.136 0.643 0.179
Ga2 0.633 0.005 0.178
O1 0.007 0.979 0.181
O2 0.141 0.176 0.857
O3 0.148 0.607 0.313
O4 0.197 0.682 0.862
O5 0.506 0.668 0.177
O6 0.512 0.042 0.045
O7 0.535 0.520 0.587
O8 0.539 0.026 0.596
O9 0.598 0.253 0.796
O10 0.627 0.164 0.312
O11 0.671 0.741 0.786
O12 0.992 0.976 0.503
O13 0.993 0.475 0.502
O14 0.997 0.485 0.046
```

Top 6 peaks for 2θ = 15–90°, by intensity:
h k l	Position (°2θ)	d_spacing	Rel. int.
-1 1 3	31.46	2.844	100
0 2 -1	33.61	2.667	62
2 0 -1	34.77	2.580	45
0 0 5	34.09	2.630	44
1 -1 3	31.69	2.824	41
1 1 -4	31.80	2.814	40



Record 11
Starting from a DFT-relaxed cell (PBE, the Materials Project), the PXRD pattern of Pm2AlGa was simulated for CuKα.
No peak broadening, texture or thermal motion is included.

Atomic structure:
```
data_Pm2AlGa
_space_group_name_H-M_alt 'F m -3 m'
_space_group_IT_number 225
_space_group_name_Hall '-F 4 2 3'
_cell_length_a 7.385
_cell_length_b 7.385
_cell_length_c 7.385
_cell_angle_alpha 90.00
_cell_angle_beta 90.00
_cell_angle_gamma 90.00
loop_
_atom_site_label
_atom_site_fract_x
_atom_site_fract_y
_atom_site_fract_z
Pm1 0.250 0.250 0.250
Al1 0.000 0.000 0.000
Ga1 0.000 0.000 0.500
```

Top 6 peaks for 2θ = 15–90°, by intensity:
h k l	Position (°2θ)	d_spacing	Rel. int.
2 2 0	34.35	2.611	100
4 2 2	61.52	1.507	37
2 0 0	24.10	3.692	29
4 0 0	49.36	1.846	18
6 2 0	82.64	1.168	16
4 2 0	55.66	1.651	12